[1]
# ErHfTlC
Theoretical XRD peak list, Cu Ka. Input: a crystal structure in OQMD, relaxed with GGA-PBE.

Crystal structure
Unit cell a=3.4465 b=3.4465 c=15.5269 alpha=90.00 beta=90.00 gamma=120.00
Space group P-3m1 (No. 164)
Symmetry-distinct sites (fractional):
Er: 0.3333 0.6667 0.4129 x2
Hf: 0.3333 0.6667 0.0765 x2
Tl: 0.3333 0.6667 0.7603 x2
C: 0.0000 0.0000 0.0000 x1
C: 0.0000 0.0000 0.5000 x1

Most intense lines, 10 to 80 degrees two-theta, by angle:
index	2θ/deg	d (Å)	Rel. int.
1 0 0	29.94	2.985	19
0 0 6	34.69	2.586	100
1 0 4	38.03	2.366	2
1 0 6	46.44	1.955	12
1 1 0	53.15	1.723	18
0 1 8	56.56	1.627	1
0 1 9	62.16	1.493	16
1 1 6	65.03	1.434	30
1 0 10	68.07	1.377	1
0 0 12	73.19	1.293	5

[2]
# Ho2Er2CI5
Theoretical XRD peak list, Cu Ka. Input: a crystal structure in OQMD, relaxed with GGA-PBE.

Crystal structure
Unit cell a=19.180 b=3.938 c=8.528 alpha=90.00 beta=102.43 gamma=90.00
Space group C2/m (No. 12)
Symmetry-distinct sites (fractional):
Ho: 0.127 0.000 0.063 x4
Er: 0.000 0.500 0.188 x4
C: 0.000 0.000 0.000 x2
I: 0.000 0.000 0.500 x2
I: 0.162 0.500 0.338 x4
I: 0.165 0.500 0.822 x4

Most intense lines, 10 to 80 degrees two-theta, by angle:
index	2θ/deg	d (Å)	Rel. int.
0 0 1	10.62	8.328	34
3 1 -1	27.68	3.223	15
6 0 0	28.59	3.122	42
3 1 1	30.01	2.977	23
1 1 -2	30.91	2.893	100
5 1 0	33.03	2.712	39
6 0 -3	38.47	2.340	17
2 0 -4	42.46	2.129	36
7 1 -2	42.72	2.117	23
0 2 0	46.09	1.969	19